This entry pairs a crystal structure of Te2Mo3WS6 with its calculated powder X-ray diffraction pattern. Radiation: copper Kα. Structure: the GGA-PBE geometry in the Materials Project.
Lines closer than 0.1° are merged.

```
Te2Mo3WS6
1.0
3.2728 0.0000 0.0000
-1.6364 2.8343 0.0000
0.0000 0.0000 37.2617
Te Mo W S
2 3 1 6
Direct
0.0000 0.0000 0.0000
0.0000 0.0000 0.1035
0.0000 0.0000 0.8638
0.6667 0.3333 0.0517
0.6667 0.3333 0.6760
0.0000 0.0000 0.2397
0.0000 0.0000 0.6347
0.0000 0.0000 0.7173
0.6667 0.3333 0.1983
0.6667 0.3333 0.2812
0.6667 0.3333 0.8226
0.6667 0.3333 0.9051
```

The 10 most intense peaks (2θ = 10–90°), by intensity:
11.88 deg, d = 7.452 Å, I = 100.0, hkl 0 0 5
37.13 deg, d = 2.421 Å, I = 82.1, hkl 1 0 8
31.60 deg, d = 2.831 Å, I = 56.2, hkl 1 0 0
44.98 deg, d = 2.015 Å, I = 38.6, hkl 0 1 13
56.23 deg, d = 1.636 Å, I = 28.1, hkl 1 1 0
38.49 deg, d = 2.339 Å, I = 18.7, hkl 1 0 9
35.90 deg, d = 2.502 Å, I = 16.4, hkl 0 1 7
33.84 deg, d = 2.649 Å, I = 13.7, hkl 1 0 5
16.65 deg, d = 5.323 Å, I = 13.5, hkl 0 0 7
69.31 deg, d = 1.356 Å, I = 12.7, hkl 0 2 8